For Pu4Tc7Ge6, the PBE geometry in Alexandria gives the theoretical PXRD pattern in this record (Cu Ka).
Neutral-atom scattering factors, no anomalous dispersion.

Largest 10 diffraction maxima, sorted by position, 10 to 90 degrees two-theta:
- 2θ 21.21, intensity 18
- 2θ 30.17, intensity 47
- 2θ 37.18, intensity 100
- 2θ 43.19, intensity 60
- 2θ 48.60, intensity 15
- 2θ 53.59, intensity 14
- 2θ 62.74, intensity 35
- 2θ 71.18, intensity 14
- 2θ 75.23, intensity 31
- 2θ 87.04, intensity 13

Unit cell a=7.255 b=7.255 c=7.255 alpha=109.47 beta=109.47 gamma=109.47
Fractional positions:
Pu (0.000, 0.000, 0.500)
Pu (0.000, 0.500, 0.000)
Pu (0.500, 0.000, 0.000)
Pu (0.500, 0.500, 0.500)
Tc (0.000, 0.000, 0.000)
Tc (0.250, 0.500, 0.750)
Tc (0.250, 0.750, 0.500)
Tc (0.500, 0.250, 0.750)
Tc (0.500, 0.750, 0.250)
Tc (0.750, 0.250, 0.500)
Tc (0.750, 0.500, 0.250)
Ge (0.000, 0.307, 0.307)
Ge (0.000, 0.693, 0.693)
Ge (0.307, 0.000, 0.307)
Ge (0.307, 0.307, 0.000)
Ge (0.693, 0.000, 0.693)
Ge (0.693, 0.693, 0.000)

For PmY3Zn2, the PBE geometry in Alexandria gives the theoretical PXRD pattern in this record (Cu Ka).
Neutral-atom scattering factors, no anomalous dispersion.

Largest 10 diffraction maxima, sorted by position, 10 to 90 degrees two-theta:
- 2θ 25.89, intensity 9
- 2θ 28.82, intensity 28
- 2θ 33.13, intensity 100
- 2θ 35.42, intensity 56
- 2θ 38.46, intensity 10
- 2θ 46.34, intensity 8
- 2θ 50.96, intensity 19
- 2θ 59.62, intensity 9
- 2θ 62.15, intensity 31
- 2θ 85.73, intensity 8

Unit cell a=3.584 b=3.584 c=12.360 alpha=90.00 beta=90.00 gamma=90.00
Fractional positions:
Pm (0.000, 0.000, 0.000)
Y (0.500, 0.500, 0.213)
Y (0.500, 0.500, 0.500)
Y (0.500, 0.500, 0.787)
Zn (0.000, 0.000, 0.357)
Zn (0.000, 0.000, 0.643)

For V7Ru3, the PBE geometry in Alexandria gives the theoretical PXRD pattern in this record (Cu Ka).
Neutral-atom scattering factors, no anomalous dispersion.

Largest 10 diffraction maxima, sorted by position, 10 to 90 degrees two-theta:
- 2θ 21.68, intensity 33
- 2θ 31.04, intensity 27
- 2θ 35.55, intensity 25
- 2θ 38.33, intensity 34
- 2θ 38.49, intensity 23
- 2θ 42.60, intensity 100
- 2θ 44.19, intensity 71
- 2θ 44.74, intensity 28
- 2θ 68.69, intensity 23
- 2θ 80.69, intensity 25

Unit cell a=8.102 b=8.102 c=5.051 alpha=90.00 beta=90.00 gamma=120.00
Fractional positions:
V (0.000, 0.500, 0.000)
V (0.000, 0.500, 0.500)
V (0.121, 0.242, 0.250)
V (0.121, 0.879, 0.250)
V (0.242, 0.121, 0.750)
V (0.333, 0.667, 0.250)
V (0.500, 0.000, 0.000)
V (0.500, 0.000, 0.500)
V (0.500, 0.500, 0.000)
V (0.500, 0.500, 0.500)
V (0.667, 0.333, 0.750)
V (0.758, 0.879, 0.250)
V (0.879, 0.121, 0.750)
V (0.879, 0.758, 0.750)
Ru (0.212, 0.424, 0.750)
Ru (0.212, 0.788, 0.750)
Ru (0.424, 0.212, 0.250)
Ru (0.576, 0.788, 0.750)
Ru (0.788, 0.212, 0.250)
Ru (0.788, 0.576, 0.250)

For YbFe2, the PBE geometry in Alexandria gives the theoretical PXRD pattern in this record (Cu Ka).
Neutral-atom scattering factors, no anomalous dispersion.

Largest 10 diffraction maxima, sorted by position, 10 to 90 degrees two-theta:
- 2θ 35.30, intensity 69
- 2θ 38.47, intensity 100
- 2θ 40.99, intensity 16
- 2θ 41.68, intensity 93
- 2θ 42.48, intensity 51
- 2θ 65.47, intensity 43
- 2θ 67.72, intensity 21
- 2θ 71.21, intensity 26
- 2θ 74.67, intensity 21
- 2θ 87.28, intensity 19

Unit cell a=5.085 b=5.085 c=8.287 alpha=90.00 beta=90.00 gamma=120.00
Fractional positions:
Yb (0.333, 0.667, 0.064)
Yb (0.333, 0.667, 0.436)
Yb (0.667, 0.333, 0.564)
Yb (0.667, 0.333, 0.936)
Fe (0.000, 0.000, 0.000)
Fe (0.000, 0.000, 0.500)
Fe (0.165, 0.329, 0.750)
Fe (0.165, 0.835, 0.750)
Fe (0.329, 0.165, 0.250)
Fe (0.671, 0.835, 0.750)
Fe (0.835, 0.165, 0.250)
Fe (0.835, 0.671, 0.250)